Simulated X-ray powder pattern
Compound: BaMgCoF7
Radiation: copper Kα
Structure: a GGA+U-relaxed structure
Intensities are scaled so that the largest is 1000.

Cell and atoms:
abc: 5.666 9.950 9.599
angles: 90.00 93.14 90.00
Positions (direct):
Ba 0.232 0.183 0.498
Ba 0.232 0.317 0.998
Ba 0.768 0.683 0.002
Ba 0.768 0.817 0.502
Mg 0.198 0.603 0.311
Mg 0.198 0.897 0.811
Mg 0.802 0.103 0.189
Mg 0.802 0.397 0.689
Co 0.306 0.613 0.690
Co 0.306 0.887 0.190
Co 0.694 0.113 0.810
Co 0.694 0.387 0.310
F 0.029 0.716 0.753
F 0.029 0.784 0.253
F 0.119 0.541 0.124
F 0.119 0.959 0.624
F 0.126 0.046 0.133
F 0.126 0.454 0.633
F 0.241 0.687 0.507
F 0.241 0.813 0.007
F 0.383 0.547 0.866
F 0.383 0.953 0.366
F 0.389 0.054 0.873
F 0.389 0.446 0.373
F 0.474 0.718 0.250
F 0.474 0.782 0.750
F 0.526 0.218 0.250
F 0.526 0.282 0.750
F 0.611 0.554 0.627
F 0.611 0.946 0.127
F 0.617 0.047 0.634
F 0.617 0.453 0.134
F 0.759 0.187 0.993
F 0.759 0.313 0.493
F 0.874 0.546 0.367
F 0.874 0.954 0.867
F 0.881 0.041 0.376
F 0.881 0.459 0.876
F 0.971 0.216 0.747
F 0.971 0.284 0.247

Largest 8 diffraction maxima, low angle first, 15° ≤ 2θ ≤ 90°:
h k l, Position (°2θ), d_spacing, I/Imax
1 2 -1, 25.29, 3.521, 1000
1 2 1, 25.86, 3.445, 310
1 1 2, 26.58, 3.353, 541
2 0 0, 31.63, 2.829, 198
2 2 -2, 40.44, 2.230, 325
1 4 1, 40.94, 2.205, 398
0 2 4, 41.85, 2.159, 238
3 2 -1, 52.26, 1.751, 236